[1]
This entry pairs a crystal structure of Ho3TeRhCl with its calculated powder X-ray diffraction pattern. Radiation: Cu Kα, 1.54184 Å. Structure: a GGA-PBE-relaxed structure.
Intensities are scaled so that the largest is 100.

Peak list (12 most intense, 10 to 90 degrees two-theta, in order of falling intensity)
d (Å)	two_theta	Rel. int.
2.930	30.51	100
2.053	44.11	25
2.583	34.73	24
8.366	10.58	23
3.227	27.65	23
2.244	40.18	21
3.110	28.70	19
2.380	37.81	17
2.420	37.15	16
1.810	50.43	16
2.755	32.50	15
2.920	30.62	14

Atomic structure:
a b c (Å): 8.4029 4.1065 9.7233
angles (deg): 90.00 95.40 90.00
Fractional coordinates of all 12 atoms:
Ho  0.1324  0.2500  0.3222
Ho  0.1451  0.2500  0.8977
Ho  0.2995  0.7500  0.6200
Ho  0.7005  0.2500  0.3800
Ho  0.8549  0.7500  0.1023
Ho  0.8676  0.7500  0.6778
Te  0.4115  0.7500  0.3198
Te  0.5885  0.2500  0.6802
Rh  0.0677  0.2500  0.6106
Rh  0.9323  0.7500  0.3894
Cl  0.3518  0.7500  0.9168
Cl  0.6482  0.2500  0.0832


[2]
This entry pairs a crystal structure of Pr12Hg3O4 with its calculated powder X-ray diffraction pattern. Radiation: Cu Kα, 1.54184 Å. Structure: a GGA-PBE-relaxed structure.
Intensities are scaled so that the largest is 100.

Peak list (12 most intense, 10 to 90 degrees two-theta, in order of falling intensity)
d (Å)	two_theta	Rel. int.
2.894	30.90	100
2.506	35.83	57
1.511	61.35	43
1.772	51.58	40
1.121	86.93	18
1.150	84.21	18
1.447	64.40	14
7.088	12.49	11
1.253	75.94	6
4.092	21.72	5
2.679	33.45	4
3.170	28.15	3

Atomic structure:
a b c (Å): 8.6809 8.6809 8.6809
angles (deg): 109.47 109.47 109.47
Fractional coordinates of all 19 atoms:
Pr  0.0008  0.7491  0.2517
Pr  0.2509  0.2517  0.5026
Pr  0.2509  0.7483  0.9992
Pr  0.2517  0.0008  0.7491
Pr  0.2517  0.5026  0.2509
Pr  0.4974  0.7491  0.7483
Pr  0.5026  0.2509  0.2517
Pr  0.7483  0.4974  0.7491
Pr  0.7483  0.9992  0.2509
Pr  0.7491  0.2517  0.0008
Pr  0.7491  0.7483  0.4974
Pr  0.9992  0.2509  0.7483
Hg  0.0000  0.5000  0.5000
Hg  0.5000  0.0000  0.5000
Hg  0.5000  0.5000  0.0000
O  0.0000  0.0000  0.5000
O  0.0000  0.5000  0.0000
O  0.5000  0.0000  0.0000
O  0.5000  0.5000  0.5000


[3]
This entry pairs a crystal structure of Nb4P2C with its calculated powder X-ray diffraction pattern. Radiation: Cu Kα, 1.54184 Å. Structure: a GGA-PBE-relaxed structure.
Intensities are scaled so that the largest is 100.

Peak list (12 most intense, 10 to 90 degrees two-theta, in order of falling intensity)
d (Å)	two_theta	Rel. int.
2.486	36.13	100
2.610	34.36	84
2.522	35.59	66
2.084	43.41	43
2.100	43.07	37
1.686	54.42	24
2.357	38.19	21
1.566	58.98	21
2.810	31.85	21
2.772	32.30	20
1.859	49.00	19
1.601	57.58	19

Atomic structure:
a b c (Å): 6.2248 5.4771 6.7476
angles (deg): 90.00 107.71 90.00
Fractional coordinates of all 14 atoms:
Nb  0.0401  0.0033  0.2481
Nb  0.0401  0.4967  0.2481
Nb  0.3801  0.2500  0.0960
Nb  0.4265  0.2500  0.5976
Nb  0.5735  0.7500  0.4024
Nb  0.6199  0.7500  0.9040
Nb  0.9599  0.5033  0.7519
Nb  0.9599  0.9967  0.7519
P  0.2494  0.7500  0.5782
P  0.2604  0.7500  0.0488
P  0.7396  0.2500  0.9512
P  0.7506  0.2500  0.4218
C  0.2232  0.2500  0.7828
C  0.7768  0.7500  0.2172


[4]
This entry pairs a crystal structure of Rb2MnH5 with its calculated powder X-ray diffraction pattern. Radiation: Cu Kα, 1.54184 Å. Structure: a GGA-PBE-relaxed structure.
Intensities are scaled so that the largest is 100.

Peak list (12 most intense, 10 to 90 degrees two-theta, in order of falling intensity)
d (Å)	two_theta	Rel. int.
3.000	29.78	100
3.058	29.21	53
1.754	52.15	39
4.324	20.54	31
4.930	17.99	25
2.162	41.78	20
2.465	36.45	18
1.721	53.21	17
4.166	21.33	15
1.500	61.85	11
1.152	83.97	10
1.143	84.82	9

Atomic structure:
a b c (Å): 6.0043 6.0043 6.0043
angles (deg): 118.78 118.78 92.13
Fractional coordinates of all 8 atoms:
Rb  0.0000  0.5000  0.5000
Rb  0.5000  0.0000  0.5000
Mn  0.2233  0.2233  0.0000
H  0.0152  0.0152  0.0000
H  0.0750  0.0750  0.6207
H  0.0750  0.4543  0.0000
H  0.4543  0.0750  0.0000
H  0.4543  0.4543  0.3793


[5]
This entry pairs a crystal structure of Zn3Cu2H14S2O18 with its calculated powder X-ray diffraction pattern. Radiation: Cu Kα, 1.54184 Å. Structure: a GGA-PBE-relaxed structure.
Intensities are scaled so that the largest is 100.

Peak list (12 most intense, 10 to 90 degrees two-theta, in order of falling intensity)
d (Å)	two_theta	Rel. int.
5.319	16.67	100
3.546	25.11	32
2.751	32.55	32
2.782	32.18	31
2.393	37.58	31
2.588	34.66	30
4.991	17.77	28
5.219	16.99	26
1.854	49.15	25
2.377	37.85	21
2.613	34.32	20
3.275	27.23	19

Atomic structure:
a b c (Å): 5.4845 6.4571 10.7353
angles (deg): 96.89 93.37 90.34
Fractional coordinates of all 39 atoms:
Zn  0.0000  0.0000  0.0000
Zn  0.4888  0.2480  0.4936
Zn  0.5112  0.7520  0.5064
Cu  0.0000  0.0000  0.5000
Cu  0.0000  0.5000  0.5000
H  0.0835  0.1994  0.3227
H  0.1492  0.6497  0.8740
H  0.2429  0.3512  0.0618
H  0.3304  0.0466  0.6770
H  0.3342  0.5155  0.6760
H  0.3585  0.2521  0.9328
H  0.3928  0.7882  0.9174
H  0.6072  0.2118  0.0826
H  0.6415  0.7479  0.0672
H  0.6658  0.4845  0.3240
H  0.6696  0.9534  0.3230
H  0.7571  0.6488  0.9382
H  0.8508  0.3503  0.1260
H  0.9165  0.8006  0.6773
S  0.2398  0.7154  0.2174
S  0.7602  0.2846  0.7826
O  0.1019  0.5328  0.1488
O  0.1242  0.2324  0.4129
O  0.1413  0.9127  0.1763
O  0.2097  0.7217  0.3561
O  0.2181  0.7929  0.8862
O  0.3056  0.2187  0.0162
O  0.3265  0.0093  0.5858
O  0.3267  0.5208  0.5852
O  0.4948  0.3056  0.8054
O  0.5052  0.6944  0.1946
O  0.6733  0.4792  0.4148
O  0.6735  0.9907  0.4142
O  0.6944  0.7813  0.9838
O  0.7819  0.2071  0.1138
O  0.7903  0.2783  0.6439
O  0.8587  0.0873  0.8237
O  0.8758  0.7676  0.5871
O  0.8981  0.4672  0.8512